Theoretical XRD peak list of Ti6GaGe3 for CuKα, from a crystal structure in Alexandria, relaxed with GGA-PBE.
Intensities are scaled so that the largest is 100.

Structure:
```
Ti6GaGe3
1.0
4.8611 -4.8218 0.0000
4.8611 4.8218 0.0000
0.0000 0.0000 6.9360
Ti Ga Ge
12 2 6
Direct
0.0011 0.5014 0.7500
0.1690 0.8310 0.5018
0.1690 0.8310 0.9982
0.3277 0.3277 0.0000
0.3277 0.3277 0.5000
0.4986 0.9989 0.7500
0.5014 0.0011 0.2500
0.6723 0.6723 0.0000
0.6723 0.6723 0.5000
0.8310 0.1690 0.0018
0.8310 0.1690 0.4982
0.9989 0.4986 0.2500
0.3672 0.6328 0.2500
0.6328 0.3672 0.7500
0.1315 0.1333 0.7500
0.1333 0.1315 0.2500
0.3703 0.6297 0.7500
0.6297 0.3703 0.2500
0.8667 0.8685 0.7500
0.8685 0.8667 0.2500
```

The 8 most intense peaks (5° ≤ 2θ ≤ 70°), sorted by position:
| d [Å] | 2θ/deg | I (rel.) |
| --- | --- | --- |
| 3.468 | 25.7 | 24 |
| 2.435 | 36.9 | 32 |
| 2.300 | 39.2 | 100 |
| 2.291 | 39.3 | 97 |
| 2.170 | 41.6 | 37 |
| 2.160 | 41.8 | 39 |
| 1.734 | 52.8 | 26 |
| 1.352 | 69.5 | 15 |